1.
# La2Ga5Cu3
Simulated powder diffraction line list, a wavelength of 1.5418 Å. Input: a crystal structure in Alexandria, relaxed with GGA-PBE.

Structural model:
Unit cell a=10.314 b=12.155 c=6.083 alpha=90.00 beta=90.00 gamma=90.00
Space group Ibam (No. 72)
Symmetry-distinct sites (fractional):
1 La 0.244 0.128 0.000 (multiplicity 8)
2 Ga 0.000 0.000 0.250 (multiplicity 4)
3 Ga 0.000 0.257 0.250 (multiplicity 8)
4 Ga 0.142 0.387 0.000 (multiplicity 8)
5 Cu 0.000 0.500 0.250 (multiplicity 4)
6 Cu 0.120 0.128 0.500 (multiplicity 8)

Main lines, most intense first (2θ = 10–80°):
2θ (°)  intensity  index
34.24  100  2 0 2
33.37  62  3 2 1
42.03  58  0 4 2
54.70  29  3 2 3
48.98  25  5 2 1
71.81  21  2 4 4
66.48  19  5 2 3
60.95  18  0 0 4
29.38  16  0 0 2
62.02  12  6 4 0

---

2.
# La8Ga3Cu2
Simulated powder diffraction line list, a wavelength of 1.5418 Å. Input: a crystal structure in Alexandria, relaxed with GGA-PBE.

Structural model:
Unit cell a=10.237 b=14.645 c=5.199 alpha=90.00 beta=90.00 gamma=90.00
Space group Cmmm (No. 65)
Symmetry-distinct sites (fractional):
1 La 0.000 0.123 0.000 (multiplicity 4)
2 La 0.000 0.365 0.000 (multiplicity 4)
3 La 0.241 0.127 0.500 (multiplicity 8)
4 Ga 0.000 0.500 0.500 (multiplicity 2)
5 Ga 0.246 0.500 0.000 (multiplicity 4)
6 Cu 0.000 0.254 0.500 (multiplicity 4)

Main lines, most intense first (2θ = 10–80°):
2θ (°)  intensity  index
34.72  100  2 4 1
24.37  48  2 0 1
61.97  27  2 4 3
34.50  26  0 0 2
35.06  24  4 0 0
50.01  18  4 0 2
62.67  17  6 4 1
73.27  10  4 8 2
49.81  9  0 8 0
62.36  8  4 8 0

---

3.
# La3GaCu3
Simulated powder diffraction line list, a wavelength of 1.5418 Å. Input: a crystal structure in Alexandria, relaxed with GGA-PBE.

Structural model:
Unit cell a=4.336 b=10.672 c=13.934 alpha=90.00 beta=90.00 gamma=90.00
Space group Cmcm (No. 63)
Symmetry-distinct sites (fractional):
1 La 0.000 0.006 0.250 (multiplicity 4)
2 La 0.000 0.290 0.101 (multiplicity 8)
3 Ga 0.000 0.000 0.000 (multiplicity 4)
4 Cu 0.000 0.295 0.750 (multiplicity 4)
5 Cu 0.000 0.426 0.591 (multiplicity 8)

Main lines, most intense first (2θ = 10–80°):
2θ (°)  intensity  index
38.02  100  1 3 3
34.07  98  1 1 4
32.56  92  1 3 0
29.40  84  1 1 3
41.66  62  2 0 0
30.65  52  0 2 4
38.93  49  0 4 3
38.78  37  0 0 6
52.58  32  0 0 8
58.22  31  2 0 6

---

4.
# La6Ga5Cu
Simulated powder diffraction line list, a wavelength of 1.5418 Å. Input: a crystal structure in Alexandria, relaxed with GGA-PBE.

Structural model:
Unit cell a=5.309 b=15.934 c=7.545 alpha=90.00 beta=90.00 gamma=90.00
Space group Cmmm (No. 65)
Symmetry-distinct sites (fractional):
1 La 0.000 0.000 0.246 (multiplicity 4)
2 La 0.000 0.335 0.248 (multiplicity 8)
3 Ga 0.000 0.166 0.000 (multiplicity 4)
4 Ga 0.000 0.167 0.500 (multiplicity 4)
5 Ga 0.000 0.500 0.500 (multiplicity 2)
6 Cu 0.000 0.500 0.000 (multiplicity 2)

Main lines, most intense first (2θ = 10–80°):
2θ (°)  intensity  index
33.71  100  2 0 0
60.34  24  3 3 2
60.18  12  2 0 4
48.49  12  2 6 0
23.70  8  1 3 0
70.82  7  2 6 4
48.25  6  0 0 4
23.58  4  0 0 2
71.01  4  4 0 0
41.60  3  2 0 2

---

5.
# LaGaCu2N
Simulated powder diffraction line list, a wavelength of 1.5418 Å. Input: a crystal structure in Alexandria, relaxed with GGA-PBE.

Structural model:
Unit cell a=3.622 b=12.017 c=7.276 alpha=90.00 beta=90.00 gamma=90.00
Space group Cmcm (No. 63)
Symmetry-distinct sites (fractional):
1 La 0.000 0.033 0.250 (multiplicity 4)
2 Ga 0.000 0.238 0.750 (multiplicity 4)
3 Cu 0.000 0.336 0.051 (multiplicity 8)
4 N 0.000 0.500 0.000 (multiplicity 4)

Main lines, most intense first (2θ = 10–80°):
2θ (°)  intensity  index
35.77  100  1 1 2
33.35  66  1 3 0
35.62  54  1 3 1
38.88  40  0 4 2
32.24  39  0 4 1
61.08  37  1 7 1
50.38  27  2 0 0
52.13  26  1 5 2
45.64  23  1 1 3
65.41  18  2 4 2

---

6.
# LaGaCuNi3
Simulated powder diffraction line list, a wavelength of 1.5418 Å. Input: a crystal structure in Alexandria, relaxed with GGA-PBE.

Structural model:
Unit cell a=5.379 b=11.364 c=6.419 alpha=90.00 beta=90.00 gamma=90.00
Space group Cmcm (No. 63)
Symmetry-distinct sites (fractional):
1 La 0.000 0.180 0.250 (multiplicity 4)
2 Ga 0.000 0.129 0.750 (multiplicity 4)
3 Cu 0.000 0.417 0.250 (multiplicity 4)
4 Ni 0.000 0.357 0.750 (multiplicity 4)
5 Ni 0.238 0.000 0.000 (multiplicity 8)

Main lines, most intense first (2θ = 10–80°):
2θ (°)  intensity  index
43.92  100  2 0 2
42.49  51  0 4 2
32.03  48  0 2 2
34.52  41  0 4 1
46.49  38  2 4 0
27.79  36  0 0 2
48.73  30  2 4 1
36.98  29  2 2 0
33.31  23  2 0 0
57.42  22  0 0 4

---

7.
# Sr2LaGaCu2O7
Simulated powder diffraction line list, a wavelength of 1.5418 Å. Input: a crystal structure in Alexandria, relaxed with GGA-PBE.

Structural model:
Unit cell a=23.371 b=5.624 c=5.488 alpha=90.00 beta=90.00 gamma=90.00
Space group Ima2 (No. 46)
Symmetry-distinct sites (fractional):
1 Sr 0.153 0.020 0.000 (multiplicity 8)
2 La 0.000 0.000 0.996 (multiplicity 4)
3 Ga 0.250 0.570 0.031 (multiplicity 4)
4 Cu 0.078 0.502 0.995 (multiplicity 8)
5 O 0.067 0.248 0.747 (multiplicity 8)
6 O 0.070 0.750 0.245 (multiplicity 8)
7 O 0.178 0.051 0.465 (multiplicity 8)
8 O 0.250 0.624 0.378 (multiplicity 4)

Main lines, most intense first (2θ = 10–80°):
2θ (°)  intensity  index
32.37  100  6 1 1
46.23  29  0 2 2
32.63  28  0 0 2
58.07  27  6 1 3
31.83  26  0 2 0
57.05  17  6 3 1
38.40  16  8 1 1
46.64  10  12 0 0
67.76  10  12 2 2
77.41  7  0 2 4

---

8.
# LaGaCu2Pd2
Simulated powder diffraction line list, a wavelength of 1.5418 Å. Input: a crystal structure in Alexandria, relaxed with GGA-PBE.

Structural model:
Unit cell a=4.677 b=4.677 c=5.630 alpha=90.00 beta=90.00 gamma=90.00
Space group P4/mmm (No. 123)
Symmetry-distinct sites (fractional):
1 La 0.000 0.000 0.000 (multiplicity 1)
2 Ga 0.000 0.000 0.500 (multiplicity 1)
3 Cu 0.500 0.500 0.241 (multiplicity 2)
4 Pd 0.000 0.500 0.500 (multiplicity 2)

Main lines, most intense first (2θ = 10–80°):
2θ (°)  intensity  index
38.50  100  2 0 0
31.37  91  1 1 1
37.28  83  1 0 2
54.67  53  2 1 2
55.58  33  2 2 0
15.74  32  0 0 1
50.76  24  2 0 2
79.48  22  2 0 4
31.79  22  0 0 2
65.22  22  3 1 1